Simulated X-ray powder pattern
Compound: Ac8Ni2Sn3
Radiation: Cu Kα, 1.54184 Å
Structure: a DFT-relaxed cell (GGA-PBE, Alexandria)
Neutral-atom scattering factors, no anomalous dispersion.

Main lines, sorted by position (10° ≤ 2θ ≤ 90°):
2θ/deg	d (Å)	intensity
25.6	3.476	30
25.8	3.457	28
28.5	3.129	100
29.7	3.006	25
30.2	2.955	49
31.5	2.842	25
32.0	2.797	28
42.7	2.119	38
47.5	1.915	28
49.4	1.844	42

Structure:
```
data_Ac8Ni2Sn3
_chemical_formula_sum 'Ac8 Ni2 Sn3'
_cell_length_a 11.210
_cell_length_b 11.210
_cell_length_c 11.210
_cell_angle_alpha 38.42
_cell_angle_beta 38.42
_cell_angle_gamma 38.42
_symmetry_space_group_name_H-M 'P 1'
_symmetry_Int_Tables_number 1
_symmetry_space_group_name_Hall 'P 1'
loop_
_atom_site_label
_atom_site_fract_x
_atom_site_fract_y
_atom_site_fract_z
Ac1 0.195 0.195 0.195
Ac2 0.234 0.234 0.712
Ac3 0.234 0.712 0.234
Ac4 0.288 0.766 0.766
Ac5 0.712 0.234 0.234
Ac6 0.766 0.288 0.766
Ac7 0.766 0.766 0.288
Ac8 0.805 0.805 0.805
Ni1 0.110 0.110 0.110
Ni2 0.890 0.890 0.890
Sn1 0.300 0.300 0.300
Sn2 0.500 0.500 0.500
Sn3 0.700 0.700 0.700
```



Simulated X-ray powder pattern
Compound: Ac7Ni2Sn3
Radiation: Cu Kα, 1.54184 Å
Structure: a DFT-relaxed cell (GGA-PBE, Alexandria)
Neutral-atom scattering factors, no anomalous dispersion.

Main lines, sorted by position (10° ≤ 2θ ≤ 90°):
2θ/deg	d (Å)	intensity
28.0	3.187	100
31.7	2.820	21
32.0	2.798	25
33.6	2.668	22
45.7	1.986	16
46.9	1.938	15
47.1	1.931	17
54.6	1.681	16
56.7	1.624	15
57.9	1.593	16

Structure:
```
data_Ac7Ni2Sn3
_chemical_formula_sum 'Ac7 Ni2 Sn3'
_cell_length_a 14.375
_cell_length_b 14.375
_cell_length_c 5.337
_cell_angle_alpha 90.00
_cell_angle_beta 90.00
_cell_angle_gamma 157.55
_symmetry_space_group_name_H-M 'P 1'
_symmetry_Int_Tables_number 1
_symmetry_space_group_name_Hall 'P 1'
loop_
_atom_site_label
_atom_site_fract_x
_atom_site_fract_y
_atom_site_fract_z
Ac1 0.000 0.000 0.000
Ac2 0.098 0.902 0.500
Ac3 0.210 0.790 0.000
Ac4 0.394 0.606 0.000
Ac5 0.606 0.394 0.000
Ac6 0.790 0.210 0.000
Ac7 0.902 0.098 0.500
Ni1 0.105 0.895 0.000
Ni2 0.895 0.105 0.000
Sn1 0.311 0.689 0.500
Sn2 0.500 0.500 0.500
Sn3 0.689 0.311 0.500
```



Simulated X-ray powder pattern
Compound: Ac7Ni2Sn2
Radiation: Cu Kα, 1.54184 Å
Structure: a DFT-relaxed cell (GGA-PBE, Alexandria)
Neutral-atom scattering factors, no anomalous dispersion.

Main lines, sorted by position (10° ≤ 2θ ≤ 90°):
2θ/deg	d (Å)	intensity
23.9	3.722	21
25.3	3.516	100
27.0	3.308	58
27.9	3.200	30
29.1	3.072	74
34.1	2.632	41
35.0	2.565	94
55.4	1.658	22
55.6	1.654	23
57.6	1.600	21

Structure:
```
data_Ac7Ni2Sn2
_chemical_formula_sum 'Ac7 Ni2 Sn2'
_cell_length_a 7.492
_cell_length_b 7.492
_cell_length_c 7.497
_cell_angle_alpha 90.00
_cell_angle_beta 90.00
_cell_angle_gamma 110.18
_symmetry_space_group_name_H-M 'P 1'
_symmetry_Int_Tables_number 1
_symmetry_space_group_name_Hall 'P 1'
loop_
_atom_site_label
_atom_site_fract_x
_atom_site_fract_y
_atom_site_fract_z
Ac1 0.000 0.000 0.000
Ac2 0.000 0.500 0.253
Ac3 0.000 0.500 0.747
Ac4 0.500 0.000 0.253
Ac5 0.500 0.000 0.747
Ac6 0.500 0.500 0.233
Ac7 0.500 0.500 0.767
Ni1 0.289 0.711 0.000
Ni2 0.711 0.289 0.000
Sn1 0.170 0.170 0.500
Sn2 0.830 0.830 0.500
```



Simulated X-ray powder pattern
Compound: AcNi2Sn8
Radiation: Cu Kα, 1.54184 Å
Structure: a DFT-relaxed cell (GGA-PBE, Alexandria)
Neutral-atom scattering factors, no anomalous dispersion.

Main lines, sorted by position (10° ≤ 2θ ≤ 90°):
2θ/deg	d (Å)	intensity
10.6	8.349	36
22.6	3.934	37
28.3	3.154	33
30.3	2.950	32
32.2	2.783	31
35.7	2.516	100
40.4	2.230	59
43.4	2.087	38
52.6	1.740	37
70.5	1.336	37

Structure:
```
data_AcNi2Sn8
_chemical_formula_sum 'Ac1 Ni2 Sn8'
_cell_length_a 6.308
_cell_length_b 6.308
_cell_length_c 8.349
_cell_angle_alpha 90.00
_cell_angle_beta 90.00
_cell_angle_gamma 90.00
_symmetry_space_group_name_H-M 'P 1'
_symmetry_Int_Tables_number 1
_symmetry_space_group_name_Hall 'P 1'
loop_
_atom_site_label
_atom_site_fract_x
_atom_site_fract_y
_atom_site_fract_z
Ac1 0.000 0.000 0.000
Ni1 0.000 0.500 0.500
Ni2 0.500 0.000 0.500
Sn1 0.254 0.254 0.314
Sn2 0.254 0.254 0.686
Sn3 0.254 0.746 0.314
Sn4 0.254 0.746 0.686
Sn5 0.746 0.254 0.314
Sn6 0.746 0.254 0.686
Sn7 0.746 0.746 0.314
Sn8 0.746 0.746 0.686
```



Simulated X-ray powder pattern
Compound: Ac2NiSn6
Radiation: Cu Kα, 1.54184 Å
Structure: a DFT-relaxed cell (GGA-PBE, Alexandria)
Neutral-atom scattering factors, no anomalous dispersion.

Main lines, sorted by position (10° ≤ 2θ ≤ 90°):
2θ/deg	d (Å)	intensity
29.2	3.061	39
29.6	3.016	100
33.1	2.706	30
38.5	2.338	18
39.0	2.307	26
39.5	2.282	25
49.8	1.829	19
56.0	1.642	12
56.7	1.622	18
65.0	1.434	20

Structure:
```
data_Ac2NiSn6
_chemical_formula_sum 'Ac2 Ni1 Sn6'
_cell_length_a 4.614
_cell_length_b 12.463
_cell_length_c 12.463
_cell_angle_alpha 21.10
_cell_angle_beta 90.00
_cell_angle_gamma 90.00
_symmetry_space_group_name_H-M 'P 1'
_symmetry_Int_Tables_number 1
_symmetry_space_group_name_Hall 'P 1'
loop_
_atom_site_label
_atom_site_fract_x
_atom_site_fract_y
_atom_site_fract_z
Ac1 0.000 0.000 0.000
Ac2 0.000 0.335 0.335
Ni1 0.500 0.558 0.558
Sn1 0.000 0.610 0.610
Sn2 0.000 0.728 0.728
Sn3 0.500 0.110 0.110
Sn4 0.500 0.229 0.229
Sn5 0.500 0.454 0.454
Sn6 0.500 0.878 0.878
```



Simulated X-ray powder pattern
Compound: Ac6Ni3Sn
Radiation: Cu Kα, 1.54184 Å
Structure: a DFT-relaxed cell (GGA-PBE, Alexandria)
Neutral-atom scattering factors, no anomalous dispersion.

Main lines, sorted by position (10° ≤ 2θ ≤ 90°):
2θ/deg	d (Å)	intensity
24.6	3.621	63
27.5	3.238	85
28.5	3.131	100
29.0	3.081	42
29.4	3.039	43
30.3	2.947	50
37.3	2.410	39
40.7	2.219	62
48.8	1.865	41
50.4	1.811	50

Structure:
```
data_Ac6Ni3Sn
_chemical_formula_sum 'Ac12 Ni6 Sn2'
_cell_length_a 12.511
_cell_length_b 4.438
_cell_length_c 12.759
_cell_angle_alpha 90.00
_cell_angle_beta 109.01
_cell_angle_gamma 90.00
_symmetry_space_group_name_H-M 'P 1'
_symmetry_Int_Tables_number 1
_symmetry_space_group_name_Hall 'P 1'
loop_
_atom_site_label
_atom_site_fract_x
_atom_site_fract_y
_atom_site_fract_z
Ac1 0.026 0.250 0.389
Ac2 0.113 0.250 0.948
Ac3 0.210 0.750 0.260
Ac4 0.298 0.750 0.760
Ac5 0.365 0.250 0.537
Ac6 0.419 0.750 0.085
Ac7 0.581 0.250 0.915
Ac8 0.635 0.750 0.463
Ac9 0.702 0.250 0.240
Ac10 0.790 0.250 0.740
Ac11 0.887 0.750 0.052
Ac12 0.974 0.750 0.611
Ni1 0.044 0.250 0.162
Ni2 0.177 0.750 0.496
Ni3 0.347 0.250 0.915
Ni4 0.653 0.750 0.085
Ni5 0.823 0.250 0.504
Ni6 0.956 0.750 0.838
Sn1 0.441 0.250 0.303
Sn2 0.559 0.750 0.697
```



Simulated X-ray powder pattern
Compound: Ac2ThNi9
Radiation: Cu Kα, 1.54184 Å
Structure: a DFT-relaxed cell (GGA-PBE, Alexandria)
Neutral-atom scattering factors, no anomalous dispersion.

Main lines, sorted by position (10° ≤ 2θ ≤ 90°):
2θ/deg	d (Å)	intensity
20.5	4.330	25
31.7	2.827	54
34.5	2.603	49
35.4	2.536	51
41.3	2.186	100
61.2	1.514	17
62.9	1.477	18
65.5	1.425	14
67.6	1.386	15
74.9	1.268	16

Structure:
```
data_Ac2ThNi9
_chemical_formula_sum 'Ac2 Th1 Ni9'
_cell_length_a 9.102
_cell_length_b 9.102
_cell_length_c 9.102
_cell_angle_alpha 32.35
_cell_angle_beta 32.35
_cell_angle_gamma 32.35
_symmetry_space_group_name_H-M 'P 1'
_symmetry_Int_Tables_number 1
_symmetry_space_group_name_Hall 'P 1'
loop_
_atom_site_label
_atom_site_fract_x
_atom_site_fract_y
_atom_site_fract_z
Ac1 0.136 0.136 0.136
Ac2 0.864 0.864 0.864
Th1 0.000 0.000 0.000
Ni1 0.079 0.577 0.577
Ni2 0.333 0.333 0.333
Ni3 0.423 0.423 0.921
Ni4 0.423 0.921 0.423
Ni5 0.500 0.500 0.500
Ni6 0.577 0.079 0.577
Ni7 0.577 0.577 0.079
Ni8 0.667 0.667 0.667
Ni9 0.921 0.423 0.423
```



Simulated X-ray powder pattern
Compound: Ac3Tl2Ni
Radiation: Cu Kα, 1.54184 Å
Structure: a DFT-relaxed cell (GGA-PBE, Alexandria)
Neutral-atom scattering factors, no anomalous dispersion.

Main lines, sorted by position (10° ≤ 2θ ≤ 90°):
2θ/deg	d (Å)	intensity
27.6	3.237	64
29.8	3.003	100
31.1	2.878	37
32.0	2.797	40
44.3	2.047	35
44.5	2.036	24
54.4	1.686	29
55.9	1.646	17
56.4	1.630	15
66.4	1.409	11

Structure:
```
data_Ac3Tl2Ni
_chemical_formula_sum 'Ac6 Tl4 Ni2'
_cell_length_a 9.325
_cell_length_b 9.325
_cell_length_c 8.145
_cell_angle_alpha 90.00
_cell_angle_beta 90.00
_cell_angle_gamma 34.90
_symmetry_space_group_name_H-M 'P 1'
_symmetry_Int_Tables_number 1
_symmetry_space_group_name_Hall 'P 1'
loop_
_atom_site_label
_atom_site_fract_x
_atom_site_fract_y
_atom_site_fract_z
Ac1 0.001 0.999 0.750
Ac2 0.370 0.370 0.000
Ac3 0.370 0.370 0.500
Ac4 0.630 0.630 0.000
Ac5 0.630 0.630 0.500
Ac6 0.999 0.001 0.250
Tl1 0.196 0.196 0.250
Tl2 0.196 0.196 0.750
Tl3 0.804 0.804 0.250
Tl4 0.804 0.804 0.750
Ni1 0.499 0.501 0.250
Ni2 0.501 0.499 0.750
```



Simulated X-ray powder pattern
Compound: Ac12TlNi6
Radiation: Cu Kα, 1.54184 Å
Structure: a DFT-relaxed cell (GGA-PBE, Alexandria)
Neutral-atom scattering factors, no anomalous dispersion.

Main lines, sorted by position (10° ≤ 2θ ≤ 90°):
2θ/deg	d (Å)	intensity
26.3	3.387	70
28.9	3.092	35
31.2	2.862	100
43.1	2.100	23
49.6	1.837	42
51.2	1.785	18
52.7	1.737	37
74.1	1.280	18
75.3	1.262	20
76.5	1.245	17

Structure:
```
data_Ac12TlNi6
_chemical_formula_sum 'Ac12 Tl1 Ni6'
_cell_length_a 9.275
_cell_length_b 9.275
_cell_length_c 9.275
_cell_angle_alpha 109.47
_cell_angle_beta 109.47
_cell_angle_gamma 109.47
_symmetry_space_group_name_H-M 'P 1'
_symmetry_Int_Tables_number 1
_symmetry_space_group_name_Hall 'P 1'
loop_
_atom_site_label
_atom_site_fract_x
_atom_site_fract_y
_atom_site_fract_z
Ac1 0.130 0.818 0.312
Ac2 0.182 0.312 0.495
Ac3 0.182 0.688 0.870
Ac4 0.312 0.130 0.818
Ac5 0.312 0.495 0.182
Ac6 0.495 0.182 0.312
Ac7 0.505 0.818 0.688
Ac8 0.688 0.505 0.818
Ac9 0.688 0.870 0.182
Ac10 0.818 0.312 0.130
Ac11 0.818 0.688 0.505
Ac12 0.870 0.182 0.688
Tl1 0.000 0.000 0.000
Ni1 0.118 0.618 0.500
Ni2 0.382 0.500 0.882
Ni3 0.500 0.118 0.618
Ni4 0.500 0.882 0.382
Ni5 0.618 0.500 0.118
Ni6 0.882 0.382 0.500
```



Simulated X-ray powder pattern
Compound: Ac7Tl2Ni2
Radiation: Cu Kα, 1.54184 Å
Structure: a DFT-relaxed cell (GGA-PBE, Alexandria)
Neutral-atom scattering factors, no anomalous dispersion.

Main lines, sorted by position (10° ≤ 2θ ≤ 90°):
2θ/deg	d (Å)	intensity
23.8	3.742	23
25.3	3.520	79
26.5	3.361	62
27.5	3.249	41
29.0	3.079	77
33.7	2.661	46
34.6	2.590	100
47.5	1.912	21
55.1	1.667	23
56.7	1.625	24

Structure:
```
data_Ac7Tl2Ni2
_chemical_formula_sum 'Ac7 Tl2 Ni2'
_cell_length_a 7.505
_cell_length_b 7.505
_cell_length_c 7.650
_cell_angle_alpha 90.00
_cell_angle_beta 90.00
_cell_angle_gamma 110.27
_symmetry_space_group_name_H-M 'P 1'
_symmetry_Int_Tables_number 1
_symmetry_space_group_name_Hall 'P 1'
loop_
_atom_site_label
_atom_site_fract_x
_atom_site_fract_y
_atom_site_fract_z
Ac1 0.000 0.000 0.000
Ac2 0.000 0.500 0.247
Ac3 0.000 0.500 0.753
Ac4 0.500 0.000 0.247
Ac5 0.500 0.000 0.753
Ac6 0.500 0.500 0.233
Ac7 0.500 0.500 0.767
Tl1 0.173 0.173 0.500
Tl2 0.827 0.827 0.500
Ni1 0.295 0.705 0.000
Ni2 0.705 0.295 0.000
```



Simulated X-ray powder pattern
Compound: AcZn4Ni
Radiation: Cu Kα, 1.54184 Å
Structure: a DFT-relaxed cell (GGA-PBE, Alexandria)
Neutral-atom scattering factors, no anomalous dispersion.

Main lines, sorted by position (10° ≤ 2θ ≤ 90°):
2θ/deg	d (Å)	intensity
22.7	3.923	25
27.2	3.281	39
31.8	2.817	39
34.2	2.624	100
35.2	2.549	89
39.1	2.302	45
40.6	2.221	27
44.8	2.024	41
48.5	1.877	29
60.9	1.520	31

Structure:
```
data_AcZn4Ni
_chemical_formula_sum 'Ac2 Zn8 Ni2'
_cell_length_a 7.845
_cell_length_b 4.048
_cell_length_c 7.224
_cell_angle_alpha 90.00
_cell_angle_beta 90.00
_cell_angle_gamma 90.00
_symmetry_space_group_name_H-M 'P 1'
_symmetry_Int_Tables_number 1
_symmetry_space_group_name_Hall 'P 1'
loop_
_atom_site_label
_atom_site_fract_x
_atom_site_fract_y
_atom_site_fract_z
Ac1 0.250 0.000 0.097
Ac2 0.750 0.000 0.903
Zn1 0.000 0.000 0.500
Zn2 0.062 0.500 0.764
Zn3 0.250 0.500 0.453
Zn4 0.438 0.500 0.764
Zn5 0.500 0.000 0.500
Zn6 0.562 0.500 0.236
Zn7 0.750 0.500 0.547
Zn8 0.938 0.500 0.236
Ni1 0.250 0.000 0.691
Ni2 0.750 0.000 0.309
```



Simulated X-ray powder pattern
Compound: Ac2ZnNi2
Radiation: Cu Kα, 1.54184 Å
Structure: a DFT-relaxed cell (GGA-PBE, Alexandria)
Neutral-atom scattering factors, no anomalous dispersion.

Main lines, sorted by position (10° ≤ 2θ ≤ 90°):
2θ/deg	d (Å)	intensity
22.3	3.979	68
25.4	3.508	72
30.8	2.899	51
31.1	2.879	83
32.7	2.739	71
33.0	2.714	100
36.4	2.466	70
36.7	2.447	41
36.9	2.438	98
39.3	2.291	45

Structure:
```
data_Ac2ZnNi2
_chemical_formula_sum 'Ac4 Zn2 Ni4'
_cell_length_a 5.823
_cell_length_b 5.823
_cell_length_c 8.065
_cell_angle_alpha 102.47
_cell_angle_beta 102.47
_cell_angle_gamma 59.61
_symmetry_space_group_name_H-M 'P 1'
_symmetry_Int_Tables_number 1
_symmetry_space_group_name_Hall 'P 1'
loop_
_atom_site_label
_atom_site_fract_x
_atom_site_fract_y
_atom_site_fract_z
Ac1 0.004 0.702 0.854
Ac2 0.298 0.996 0.646
Ac3 0.702 0.004 0.354
Ac4 0.996 0.298 0.146
Zn1 0.368 0.632 0.250
Zn2 0.632 0.368 0.750
Ni1 0.218 0.503 0.494
Ni2 0.497 0.782 0.006
Ni3 0.503 0.218 0.994
Ni4 0.782 0.497 0.506
```